The following is a computed powder X-ray diffraction pattern of Dy6Cl13. It was derived from a DFT-relaxed cell (GGA-PBE, the Materials Project), using Cu Kα (λ = 1.5418 Å).
Lines closer than 0.1° are merged.

The 8 most intense peaks (10° ≤ 2θ ≤ 90°), in order of rising 2θ:
| hkl | 2θ (°) | I_rel |
| --- | --- | --- |
| 1 1 -1 | 18.47 | 53 |
| 5 1 1 | 22.78 | 100 |
| 7 1 -1 | 23.07 | 76 |
| 0 2 0 | 26.25 | 30 |
| 13 1 -1 | 33.21 | 39 |
| 12 2 0 | 38.10 | 44 |
| 3 1 -3 | 42.02 | 38 |
| 17 1 1 | 45.22 | 29 |

Cell: 39.9467 6.7843 6.8043 Å, 90.00 98.74 90.00°
Space group C2/c (No. 15)
Unique sites:
Dy 0.0397 0.2410 0.0869 [8 per cell]
Dy 0.1291 0.2126 0.5519 [8 per cell]
Dy 0.2002 0.2025 0.3154 [8 per cell]
Cl 0.0000 0.0501 0.7500 [4 per cell]
Cl 0.0304 0.3716 0.4517 [8 per cell]
Cl 0.0812 0.0444 0.8250 [8 per cell]
Cl 0.1010 0.4289 0.2154 [8 per cell]
Cl 0.1630 0.1104 0.9292 [8 per cell]
Cl 0.1819 0.4517 0.5888 [8 per cell]
Cl 0.2422 0.0400 0.6258 [8 per cell]